Record 1
Structure and theoretical PXRD pattern of Pr3Al2Hg (the GGA-PBE geometry in Alexandria; copper Kα).
Intensities are scaled so that the largest is 100.

The 10 most intense peaks (2θ from 10° to 90°), low angle first:
| index | two_theta | intensity |
| --- | --- | --- |
| 1 0 1 | 25.58 | 14 |
| 1 0 2 | 28.50 | 13 |
| 1 0 3 | 32.85 | 100 |
| 1 1 0 | 34.97 | 43 |
| 0 0 6 | 43.82 | 11 |
| 2 0 0 | 50.29 | 15 |
| 1 1 6 | 57.25 | 23 |
| 2 1 3 | 61.38 | 33 |
| 2 0 6 | 68.87 | 11 |
| 1 0 9 | 73.55 | 9 |

Crystal structure
```
data_Pr3Al2Hg
_chemical_formula_sum 'Pr3 Al2 Hg1'
_cell_length_a 3.628
_cell_length_b 3.628
_cell_length_c 12.397
_cell_angle_alpha 90.00
_cell_angle_beta 90.00
_cell_angle_gamma 90.00
_symmetry_space_group_name_H-M 'P 4/m m m'
_symmetry_Int_Tables_number 123
_symmetry_space_group_name_Hall '-P 4 2'
loop_
_atom_site_label
_atom_site_fract_x
_atom_site_fract_y
_atom_site_fract_z
_atom_site_occupancy
Pr1 0.000 0.000 0.000 1
Pr2 0.000 0.000 0.324 1
Al1 0.500 0.500 0.165 1
Hg1 0.500 0.500 0.500 1
```

Record 2
Structure and theoretical PXRD pattern of Ba3GaSe4Cl (the GGA-PBE geometry in Alexandria; copper Kα).
Intensities are scaled so that the largest is 100.

The 10 most intense peaks (2θ from 10° to 90°), low angle first:
| index | two_theta | intensity |
| --- | --- | --- |
| 3 0 1 | 22.90 | 45 |
| 1 2 2 | 27.76 | 100 |
| 3 2 1 | 29.11 | 34 |
| 4 0 1 | 29.32 | 40 |
| 2 2 2 | 30.26 | 55 |
| 4 2 0 | 32.94 | 32 |
| 2 0 3 | 33.29 | 24 |
| 2 1 3 | 34.51 | 32 |
| 0 4 0 | 35.97 | 53 |
| 5 2 1 | 40.48 | 25 |

Crystal structure
```
data_Ba3GaSe4Cl
_chemical_formula_sum 'Ba12 Ga4 Se16 Cl4'
_cell_length_a 12.971
_cell_length_b 9.986
_cell_length_c 8.875
_cell_angle_alpha 90.00
_cell_angle_beta 90.00
_cell_angle_gamma 90.00
_symmetry_space_group_name_H-M 'P n m a'
_symmetry_Int_Tables_number 62
_symmetry_space_group_name_Hall '-P 2ac 2n'
loop_
_atom_site_label
_atom_site_fract_x
_atom_site_fract_y
_atom_site_fract_z
_atom_site_occupancy
Ba1 0.007 0.250 0.079 1
Ba2 0.170 0.021 0.574 1
Ga1 0.111 0.750 0.314 1
Se1 0.009 0.750 0.542 1
Se2 0.078 0.542 0.189 1
Se3 0.205 0.250 0.861 1
Cl1 0.229 0.750 0.846 1
```